Record 1
Theoretical powder diffractogram
Compound: PmCo2PbO6
Radiation: Cu Kα (weighted mean of Kα1 and Kα2)
Structure: DFT lattice parameters and positions (GGA+U)

Peak list (12 most intense, 2θ = 5–70°, low angle first)
- 2θ = 23.04°, rel. 470
- 2θ = 32.46°, rel. 984
- 2θ = 33.16°, rel. 1000
- 2θ = 40.18°, rel. 254
- 2θ = 47.08°, rel. 533
- 2θ = 52.57°, rel. 137
- 2θ = 53.52°, rel. 102
- 2θ = 57.91°, rel. 247
- 2θ = 58.35°, rel. 417
- 2θ = 59.68°, rel. 187
- 2θ = 67.97°, rel. 147
- 2θ = 69.60°, rel. 157

Crystal structure
Lattice parameters (Å, degrees): 5.406 5.406 5.406 61.36 61.36 61.36
Element x y z (fractional)
1 Pm 0.000 0.000 0.000
2 Co 0.252 0.252 0.252
3 Co 0.748 0.748 0.748
4 Pb 0.500 0.500 0.500
5 O 0.000 0.581 0.419
6 O 0.080 0.500 0.920
7 O 0.419 0.000 0.581
8 O 0.500 0.920 0.080
9 O 0.581 0.419 0.000
10 O 0.920 0.080 0.500


Record 2
Theoretical powder diffractogram
Compound: Rb2CoPbO5
Radiation: Cu Kα (weighted mean of Kα1 and Kα2)
Structure: DFT lattice parameters and positions (GGA+U)

Peak list (12 most intense, 2θ = 5–70°, low angle first)
- 2θ = 11.15°, rel. 340
- 2θ = 13.87°, rel. 670
- 2θ = 17.84°, rel. 676
- 2θ = 23.49°, rel. 688
- 2θ = 23.73°, rel. 414
- 2θ = 27.15°, rel. 369
- 2θ = 30.19°, rel. 392
- 2θ = 30.80°, rel. 487
- 2θ = 31.57°, rel. 769
- 2θ = 33.75°, rel. 1000
- 2θ = 34.64°, rel. 298
- 2θ = 50.11°, rel. 438

Crystal structure
Lattice parameters (Å, degrees): 8.122 8.122 12.765 90.00 90.00 155.26
Element x y z (fractional)
1 Rb 0.065 0.935 0.500
2 Rb 0.141 0.859 0.199
3 Rb 0.859 0.141 0.699
4 Rb 0.935 0.065 0.000
5 Co 0.425 0.575 0.275
6 Co 0.575 0.425 0.775
7 Pb 0.212 0.788 0.908
8 Pb 0.788 0.212 0.408
9 O 0.068 0.932 0.833
10 O 0.312 0.688 0.287
11 O 0.318 0.682 0.509
12 O 0.340 0.660 0.882
13 O 0.490 0.510 0.172
14 O 0.510 0.490 0.672
15 O 0.660 0.340 0.382
16 O 0.682 0.318 0.009
17 O 0.688 0.312 0.787
18 O 0.932 0.068 0.333


Record 3
Theoretical powder diffractogram
Compound: CoTePbO4
Radiation: Cu Kα (weighted mean of Kα1 and Kα2)
Structure: DFT lattice parameters and positions (GGA+U)

Peak list (12 most intense, 2θ = 5–70°, low angle first)
- 2θ = 19.32°, rel. 415
- 2θ = 19.47°, rel. 510
- 2θ = 21.23°, rel. 408
- 2θ = 24.45°, rel. 341
- 2θ = 24.57°, rel. 404
- 2θ = 28.64°, rel. 1000
- 2θ = 29.94°, rel. 638
- 2θ = 30.47°, rel. 429
- 2θ = 32.43°, rel. 331
- 2θ = 35.92°, rel. 397
- 2θ = 42.45°, rel. 462
- 2θ = 43.24°, rel. 473

Crystal structure
Lattice parameters (Å, degrees): 5.868 5.969 7.311 90.00 90.45 90.00
Element x y z (fractional)
1 Co 0.236 0.250 0.318
2 Co 0.764 0.750 0.682
3 Te 0.281 0.750 0.594
4 Te 0.719 0.250 0.406
5 Pb 0.261 0.250 0.835
6 Pb 0.739 0.750 0.165
7 O 0.072 0.750 0.795
8 O 0.110 0.250 0.560
9 O 0.495 0.533 0.709
10 O 0.495 0.967 0.709
11 O 0.505 0.033 0.291
12 O 0.505 0.467 0.291
13 O 0.890 0.750 0.440
14 O 0.928 0.250 0.205


Record 4
Theoretical powder diffractogram
Compound: TiCoPb2O5
Radiation: Cu Kα (weighted mean of Kα1 and Kα2)
Structure: DFT lattice parameters and positions (GGA+U)

Peak list (12 most intense, 2θ = 5–70°, low angle first)
- 2θ = 14.36°, rel. 495
- 2θ = 19.75°, rel. 296
- 2θ = 25.57°, rel. 734
- 2θ = 28.13°, rel. 1000
- 2θ = 28.96°, rel. 289
- 2θ = 32.07°, rel. 528
- 2θ = 32.46°, rel. 639
- 2θ = 35.70°, rel. 477
- 2θ = 36.42°, rel. 675
- 2θ = 37.95°, rel. 280
- 2θ = 45.43°, rel. 285
- 2θ = 54.23°, rel. 304

Crystal structure
Lattice parameters (Å, degrees): 6.755 6.755 12.332 90.00 90.00 152.84
Element x y z (fractional)
1 Ti 0.199 0.801 0.500
2 Ti 0.801 0.199 0.000
3 Co 0.499 0.501 0.429
4 Co 0.501 0.499 0.929
5 Pb 0.065 0.935 0.172
6 Pb 0.186 0.814 0.790
7 Pb 0.814 0.186 0.290
8 Pb 0.935 0.065 0.672
9 O 0.040 0.960 0.521
10 O 0.282 0.718 0.093
11 O 0.335 0.665 0.439
12 O 0.339 0.661 0.896
13 O 0.473 0.527 0.267
14 O 0.527 0.473 0.767
15 O 0.661 0.339 0.396
16 O 0.665 0.335 0.939
17 O 0.718 0.282 0.593
18 O 0.960 0.040 0.021


Record 5
Theoretical powder diffractogram
Compound: VCoPbO4
Radiation: Cu Kα (weighted mean of Kα1 and Kα2)
Structure: DFT lattice parameters and positions (GGA+U)

Peak list (12 most intense, 2θ = 5–70°, low angle first)
- 2θ = 13.88°, rel. 300
- 2θ = 22.46°, rel. 1000
- 2θ = 24.51°, rel. 501
- 2θ = 27.97°, rel. 303
- 2θ = 28.35°, rel. 439
- 2θ = 31.13°, rel. 627
- 2θ = 32.75°, rel. 451
- 2θ = 33.15°, rel. 429
- 2θ = 38.97°, rel. 469
- 2θ = 41.61°, rel. 306
- 2θ = 42.34°, rel. 307
- 2θ = 45.82°, rel. 482

Crystal structure
Lattice parameters (Å, degrees): 5.599 5.746 6.539 90.00 102.66 90.00
Element x y z (fractional)
1 V 0.196 0.250 0.168
2 V 0.804 0.750 0.832
3 Co 0.368 0.750 0.982
4 Co 0.632 0.250 0.018
5 Pb 0.260 0.750 0.451
6 Pb 0.740 0.250 0.549
7 O 0.032 0.750 0.071
8 O 0.106 0.250 0.410
9 O 0.454 0.028 0.190
10 O 0.454 0.472 0.190
11 O 0.546 0.528 0.810
12 O 0.546 0.972 0.810
13 O 0.894 0.750 0.590
14 O 0.968 0.250 0.929


Record 6
Theoretical powder diffractogram
Compound: Co3Pd3O8
Radiation: Cu Kα (weighted mean of Kα1 and Kα2)
Structure: DFT lattice parameters and positions (GGA+U)

Peak list (12 most intense, 2θ = 5–70°, low angle first)
- 2θ = 29.12°, rel. 222
- 2θ = 30.72°, rel. 451
- 2θ = 34.02°, rel. 344
- 2θ = 34.83°, rel. 99
- 2θ = 35.43°, rel. 1000
- 2θ = 36.11°, rel. 180
- 2θ = 42.84°, rel. 94
- 2θ = 55.32°, rel. 133
- 2θ = 56.76°, rel. 198
- 2θ = 57.71°, rel. 242
- 2θ = 60.37°, rel. 274
- 2θ = 63.98°, rel. 262

Crystal structure
Lattice parameters (Å, degrees): 6.151 6.151 6.151 56.48 56.48 56.48
Element x y z (fractional)
1 Co 0.000 0.500 0.500
2 Co 0.500 0.000 0.500
3 Co 0.500 0.500 0.000
4 Pd 0.134 0.134 0.134
5 Pd 0.500 0.500 0.500
6 Pd 0.866 0.866 0.866
7 O 0.257 0.257 0.699
8 O 0.257 0.699 0.257
9 O 0.272 0.272 0.272
10 O 0.301 0.743 0.743
11 O 0.699 0.257 0.257
12 O 0.728 0.728 0.728
13 O 0.743 0.301 0.743
14 O 0.743 0.743 0.301


Record 7
Theoretical powder diffractogram
Compound: Sr2CoPdO4
Radiation: Cu Kα (weighted mean of Kα1 and Kα2)
Structure: DFT lattice parameters and positions (GGA+U)

Peak list (12 most intense, 2θ = 5–70°, low angle first)
- 2θ = 20.13°, rel. 37
- 2θ = 20.65°, rel. 20
- 2θ = 27.85°, rel. 39
- 2θ = 29.37°, rel. 621
- 2θ = 34.92°, rel. 1000
- 2θ = 35.87°, rel. 45
- 2θ = 42.02°, rel. 350
- 2θ = 55.75°, rel. 564
- 2θ = 57.54°, rel. 62
- 2θ = 60.93°, rel. 97
- 2θ = 65.91°, rel. 151
- 2θ = 69.07°, rel. 140

Crystal structure
Lattice parameters (Å, degrees): 5.362 5.362 5.362 110.91 110.91 106.63
Element x y z (fractional)
1 Sr 0.000 0.000 0.000
2 Sr 0.750 0.250 0.500
3 Co 0.500 0.500 0.000
4 Pd 0.250 0.750 0.500
5 O 0.143 0.101 0.632
6 O 0.469 0.511 0.368
7 O 0.489 0.857 0.958
8 O 0.899 0.531 0.042


Question: What is the formula in the second record?
Answer: Rb2CoPbO5


Question: What is the formula in the second record?
Answer: Rb2CoPbO5